(1)
Simulated XRD peak list of Mn6OF11 for λ = 1.5418 Å (Cu Kα), from a GGA+U-relaxed structure.

Largest 10 diffraction maxima, in order of falling intensity, 2θ from 10° to 90°:
28.6°, I = 100, hkl 1 1 -3
28.9°, I = 97, hkl 1 1 3
23.4°, I = 79, hkl 1 1 0
51.2°, I = 33, hkl 2 2 3
50.8°, I = 32, hkl 2 2 -3
60.2°, I = 30, hkl 0 2 9
49.9°, I = 28, hkl 1 3 0
49.5°, I = 24, hkl 2 0 -6
50.2°, I = 24, hkl 2 0 6
34.6°, I = 23, hkl 0 2 3

Atomic structure:
a = 4.9632 Å, b = 5.8972 Å, c = 16.2268 Å
α = 90.00°, β = 90.77°, γ = 90.00°
Space group Pc (No. 7)
One atom of each set of equivalent atoms:
Mn: 0.0000 0.1446 0.0000
Mn: 0.0077 0.1666 0.6592
Mn: 0.4671 0.3106 0.5015
Mn: 0.4881 0.3342 0.1631
Mn: 0.5071 0.3300 0.8331
Mn: 0.9958 0.1672 0.3301
O: 0.1976 0.0875 0.5493
F: 0.2167 0.1144 0.8903
F: 0.2284 0.1086 0.2232
F: 0.2502 0.3943 0.0516
F: 0.2661 0.3923 0.7224
F: 0.2776 0.3922 0.3866
F: 0.7048 0.3837 0.6076
F: 0.7232 0.3938 0.2746
F: 0.7447 0.3720 0.9465
F: 0.7556 0.1056 0.4377
F: 0.7629 0.1207 0.1038
F: 0.7719 0.1106 0.7698

***

(2)
Simulated XRD peak list of Mn3O4F2 for λ = 1.5418 Å (Cu Kα), from a GGA+U-relaxed structure.

Largest 10 diffraction maxima, in order of falling intensity, 2θ from 10° to 90°:
27.0°, I = 100, hkl 1 3 0
35.3°, I = 51, hkl 0 3 1
67.9°, I = 30, hkl 0 9 1
53.3°, I = 28, hkl 1 6 1
53.2°, I = 18, hkl 2 3 1
40.4°, I = 14, hkl 1 3 1
51.0°, I = 13, hkl 2 2 1
61.0°, I = 11, hkl 0 0 2
55.8°, I = 10, hkl 2 6 0
22.9°, I = 9, hkl 1 2 0

Atomic structure:
a = 4.6761 Å, b = 13.9534 Å, c = 3.0383 Å
α = 90.00°, β = 90.00°, γ = 90.00°
Space group Pnnm (No. 58)
One atom of each set of equivalent atoms:
Mn: 0.0000 0.0000 0.0000
Mn: 0.0754 0.3262 0.0000
O: 0.1787 0.9348 0.5000
O: 0.2388 0.7669 0.0000
F: 0.1465 0.6083 0.5000

***

(3)
Simulated XRD peak list of Mn12O17F7 for λ = 1.5418 Å (Cu Kα), from a GGA+U-relaxed structure.

Largest 10 diffraction maxima, in order of falling intensity, 2θ from 10° to 90°:
30.8°, I = 100, hkl 1 1 -3
25.2°, I = 54, hkl 1 -1 0
25.3°, I = 53, hkl 1 1 0
31.1°, I = 44, hkl 1 -1 3
31.2°, I = 41, hkl 1 1 3
36.9°, I = 40, hkl 0 2 -3
54.0°, I = 24, hkl 2 0 -6
54.8°, I = 20, hkl 2 0 6
35.7°, I = 20, hkl 0 0 6
55.0°, I = 18, hkl -2 2 3

Atomic structure:
a = 4.5435 Å, b = 5.5734 Å, c = 15.0953 Å
α = 90.15°, β = 90.82°, γ = 90.23°
Space group P1 (No. 1)
One atom of each set of equivalent atoms:
Mn: 0.0000 0.0000 0.0000
Mn: 0.0002 0.0005 0.3326
Mn: 0.0020 0.2743 0.8351
Mn: 0.4687 0.4732 0.3201
Mn: 0.4690 0.7981 0.8249
Mn: 0.4729 0.8026 0.1565
Mn: 0.4748 0.4708 0.9915
Mn: 0.4810 0.4722 0.6576
Mn: 0.4916 0.7913 0.4867
Mn: 0.9936 0.0001 0.6716
Mn: 0.9976 0.2698 0.1664
Mn: 0.9987 0.2851 0.4976
O: 0.2169 0.0365 0.2252
O: 0.2184 0.0373 0.8934
O: 0.2178 0.2366 0.7277
O: 0.2190 0.2344 0.0597
O: 0.2232 0.2351 0.3909
O: 0.2598 0.7464 0.3780
O: 0.2618 0.5240 0.2115
O: 0.2632 0.5239 0.8805
O: 0.2652 0.7465 0.0457
O: 0.2657 0.7471 0.7148
O: 0.2820 0.5248 0.5457
O: 0.7646 0.2487 0.2716
O: 0.7660 0.0210 0.1056
O: 0.7662 0.0226 0.7744
O: 0.7671 0.2503 0.9404
O: 0.7734 0.2489 0.6075
O: 0.7774 0.0141 0.4401
F: 0.2436 0.0163 0.5668
F: 0.7252 0.5157 0.4257
F: 0.7349 0.7656 0.2679
F: 0.7359 0.7638 0.9365
F: 0.7373 0.5077 0.7709
F: 0.7378 0.5077 0.1036
F: 0.7499 0.7632 0.6034